[1]
# Ti6ReIr5
Simulated X-ray powder pattern, Cu Kα. Input: a crystal structure in Alexandria, relaxed with GGA-PBE.

Cell and atoms:
```
data_Ti6ReIr5
_chemical_formula_sum 'Ti6 Re1 Ir5'
_cell_length_a 6.749
_cell_length_b 6.749
_cell_length_c 6.616
_cell_angle_alpha 90.00
_cell_angle_beta 90.00
_cell_angle_gamma 143.11
_symmetry_space_group_name_H-M 'P 1'
_symmetry_Int_Tables_number 1
loop_
_symmetry_equiv_pos_as_xyz
'x,y,z'
loop_
_atom_site_label
_atom_site_fract_x
_atom_site_fract_y
_atom_site_fract_z
Ti1 0.000 0.000 0.244
Ti2 0.000 0.000 0.756
Ti3 0.334 0.666 0.247
Ti4 0.334 0.666 0.753
Ti5 0.666 0.334 0.247
Ti6 0.666 0.334 0.753
Re1 0.500 0.500 0.000
Ir1 0.166 0.834 0.500
Ir2 0.169 0.831 0.000
Ir3 0.500 0.500 0.500
Ir4 0.831 0.169 0.000
Ir5 0.834 0.166 0.500
```

Largest 10 diffraction maxima, in order of rising 2θ, 10 to 90 degrees two-theta:
two_theta	intensity
26.95	25.6
29.59	40.7
40.45	100.0
42.34	43.9
50.91	19.4
61.42	14.4
64.21	10.0
72.26	17.8
76.15	30.7
87.49	11.0


[2]
# Ti4ReIr
Simulated X-ray powder pattern, Cu Kα. Input: a crystal structure in Alexandria, relaxed with GGA-PBE.

Cell and atoms:
```
data_Ti4ReIr
_chemical_formula_sum 'Ti4 Re1 Ir1'
_cell_length_a 7.386
_cell_length_b 7.386
_cell_length_c 7.386
_cell_angle_alpha 33.83
_cell_angle_beta 33.83
_cell_angle_gamma 33.83
_symmetry_space_group_name_H-M 'P 1'
_symmetry_Int_Tables_number 1
loop_
_symmetry_equiv_pos_as_xyz
'x,y,z'
loop_
_atom_site_label
_atom_site_fract_x
_atom_site_fract_y
_atom_site_fract_z
Ti1 0.124 0.124 0.124
Ti2 0.374 0.374 0.374
Ti3 0.626 0.626 0.626
Ti4 0.876 0.876 0.876
Re1 0.000 0.000 0.000
Ir1 0.500 0.500 0.500
```

Largest 10 diffraction maxima, in order of rising 2θ, 10 to 90 degrees two-theta:
two_theta	intensity
25.40	100.0
25.61	32.6
29.48	15.9
42.04	59.8
42.30	58.6
49.76	16.5
49.88	32.7
50.11	16.2
61.17	19.2
77.00	19.3


[3]
# Ir3Rh5
Simulated X-ray powder pattern, Cu Kα. Input: a crystal structure in Alexandria, relaxed with GGA-PBE.

Cell and atoms:
```
data_Ir3Rh5
_chemical_formula_sum 'Ir6 Rh10'
_cell_length_a 7.036
_cell_length_b 7.036
_cell_length_c 5.197
_cell_angle_alpha 109.16
_cell_angle_beta 109.16
_cell_angle_gamma 84.73
_symmetry_space_group_name_H-M 'P 1'
_symmetry_Int_Tables_number 1
loop_
_symmetry_equiv_pos_as_xyz
'x,y,z'
loop_
_atom_site_label
_atom_site_fract_x
_atom_site_fract_y
_atom_site_fract_z
Ir1 0.043 0.957 0.750
Ir2 0.167 0.584 0.504
Ir3 0.416 0.833 0.996
Ir4 0.584 0.167 0.004
Ir5 0.833 0.416 0.496
Ir6 0.957 0.043 0.250
Rh1 0.084 0.667 0.998
Rh2 0.208 0.291 0.744
Rh3 0.291 0.208 0.244
Rh4 0.333 0.916 0.502
Rh5 0.459 0.541 0.250
Rh6 0.541 0.459 0.750
Rh7 0.667 0.084 0.498
Rh8 0.709 0.792 0.756
Rh9 0.792 0.709 0.256
Rh10 0.916 0.333 0.002
```

Largest 10 diffraction maxima, in order of rising 2θ, 10 to 90 degrees two-theta:
two_theta	intensity
19.51	5.7
37.94	25.1
40.86	26.2
43.30	100.0
56.97	15.1
68.48	5.7
68.54	11.3
76.09	18.8
82.96	20.2
84.62	9.6


[4]
# IrRh
Simulated X-ray powder pattern, Cu Kα. Input: a crystal structure in Alexandria, relaxed with GGA-PBE.

Cell and atoms:
```
data_IrRh
_chemical_formula_sum 'Ir2 Rh2'
_cell_length_a 4.722
_cell_length_b 4.722
_cell_length_c 4.722
_cell_angle_alpha 131.81
_cell_angle_beta 131.81
_cell_angle_gamma 70.53
_symmetry_space_group_name_H-M 'P 1'
_symmetry_Int_Tables_number 1
loop_
_symmetry_equiv_pos_as_xyz
'x,y,z'
loop_
_atom_site_label
_atom_site_fract_x
_atom_site_fract_y
_atom_site_fract_z
Ir1 0.375 0.625 0.750
Ir2 0.625 0.375 0.250
Rh1 0.125 0.875 0.250
Rh2 0.875 0.125 0.750
```

Largest 10 diffraction maxima, in order of rising 2θ, 10 to 90 degrees two-theta:
two_theta	intensity
25.84	12.4
40.53	100.0
42.26	3.6
47.15	48.7
54.54	3.6
65.15	3.2
68.88	31.3
83.09	38.0
84.24	1.7
87.69	11.3


[5]
# Ir5Rh3
Simulated X-ray powder pattern, Cu Kα. Input: a crystal structure in Alexandria, relaxed with GGA-PBE.

Cell and atoms:
```
data_Ir5Rh3
_chemical_formula_sum 'Ir5 Rh3'
_cell_length_a 5.475
_cell_length_b 5.475
_cell_length_c 3.844
_cell_angle_alpha 90.00
_cell_angle_beta 90.00
_cell_angle_gamma 90.06
_symmetry_space_group_name_H-M 'P 1'
_symmetry_Int_Tables_number 1
loop_
_symmetry_equiv_pos_as_xyz
'x,y,z'
loop_
_atom_site_label
_atom_site_fract_x
_atom_site_fract_y
_atom_site_fract_z
Ir1 0.000 0.000 0.000
Ir2 0.000 0.500 0.000
Ir3 0.249 0.751 0.500
Ir4 0.500 0.000 0.000
Ir5 0.751 0.249 0.500
Rh1 0.249 0.249 0.500
Rh2 0.500 0.500 0.000
Rh3 0.751 0.751 0.500
```

Largest 10 diffraction maxima, in order of rising 2θ, 10 to 90 degrees two-theta:
two_theta	intensity
22.96	4.4
32.84	3.8
40.45	100.0
46.94	32.8
47.29	16.0
68.56	10.6
68.84	20.9
82.74	25.6
83.26	12.6
87.49	11.4


[6]
# Ir3Rh5
Simulated X-ray powder pattern, Cu Kα. Input: a crystal structure in Alexandria, relaxed with GGA-PBE.

Cell and atoms:
```
data_Ir3Rh5
_chemical_formula_sum 'Ir3 Rh5'
_cell_length_a 2.725
_cell_length_b 2.725
_cell_length_c 15.405
_cell_angle_alpha 90.00
_cell_angle_beta 90.00
_cell_angle_gamma 90.00
_symmetry_space_group_name_H-M 'P 1'
_symmetry_Int_Tables_number 1
loop_
_symmetry_equiv_pos_as_xyz
'x,y,z'
loop_
_atom_site_label
_atom_site_fract_x
_atom_site_fract_y
_atom_site_fract_z
Ir1 0.000 0.000 0.000
Ir2 0.500 0.500 0.374
Ir3 0.500 0.500 0.626
Rh1 0.000 0.000 0.251
Rh2 0.000 0.000 0.500
Rh3 0.000 0.000 0.749
Rh4 0.500 0.500 0.124
Rh5 0.500 0.500 0.876
```

Largest 10 diffraction maxima, in order of rising 2θ, 10 to 90 degrees two-theta:
two_theta	intensity
11.49	2.8
17.27	7.5
33.39	5.4
40.55	100.0
47.18	48.6
50.60	2.1
53.52	2.1
68.93	31.1
83.15	37.6
87.76	11.2


[7]
# Ir3Rh13
Simulated X-ray powder pattern, Cu Kα. Input: a crystal structure in Alexandria, relaxed with GGA-PBE.

Cell and atoms:
```
data_Ir3Rh13
_chemical_formula_sum 'Ir3 Rh13'
_cell_length_a 5.492
_cell_length_b 6.463
_cell_length_c 6.463
_cell_angle_alpha 85.93
_cell_angle_beta 90.00
_cell_angle_gamma 90.00
_symmetry_space_group_name_H-M 'P 1'
_symmetry_Int_Tables_number 1
loop_
_symmetry_equiv_pos_as_xyz
'x,y,z'
loop_
_atom_site_label
_atom_site_fract_x
_atom_site_fract_y
_atom_site_fract_z
Ir1 0.000 0.000 0.000
Ir2 0.250 0.249 0.249
Ir3 0.750 0.249 0.249
Rh1 0.000 0.413 0.917
Rh2 0.000 0.497 0.497
Rh3 0.000 0.917 0.413
Rh4 0.248 0.749 0.749
Rh5 0.250 0.165 0.666
Rh6 0.250 0.666 0.165
Rh7 0.500 0.000 0.000
Rh8 0.500 0.416 0.916
Rh9 0.500 0.497 0.497
Rh10 0.500 0.916 0.416
Rh11 0.750 0.165 0.666
Rh12 0.750 0.666 0.165
Rh13 0.752 0.749 0.749
```

Largest 10 diffraction maxima, in order of rising 2θ, 10 to 90 degrees two-theta:
two_theta	intensity
37.89	25.2
38.05	12.6
40.98	38.7
43.28	100.0
43.43	49.3
57.03	15.3
68.65	16.5
76.24	18.6
83.17	19.6
84.51	14.3


[8]
# IrRh
Simulated X-ray powder pattern, Cu Kα. Input: a crystal structure in Alexandria, relaxed with GGA-PBE.

Cell and atoms:
```
data_IrRh
_chemical_formula_sum 'Ir4 Rh4'
_cell_length_a 4.733
_cell_length_b 4.439
_cell_length_c 5.484
_cell_angle_alpha 90.00
_cell_angle_beta 90.00
_cell_angle_gamma 90.00
_symmetry_space_group_name_H-M 'P 1'
_symmetry_Int_Tables_number 1
loop_
_symmetry_equiv_pos_as_xyz
'x,y,z'
loop_
_atom_site_label
_atom_site_fract_x
_atom_site_fract_y
_atom_site_fract_z
Ir1 0.081 0.250 0.126
Ir2 0.419 0.750 0.626
Ir3 0.581 0.250 0.374
Ir4 0.919 0.750 0.874
Rh1 0.087 0.250 0.623
Rh2 0.413 0.750 0.123
Rh3 0.587 0.250 0.877
Rh4 0.913 0.750 0.377
```

Largest 10 diffraction maxima, in order of rising 2θ, 10 to 90 degrees two-theta:
two_theta	intensity
25.82	7.1
37.92	15.9
38.02	8.1
40.65	26.5
43.27	100.0
56.83	14.9
68.63	11.4
75.79	19.2
82.93	13.6
84.55	9.7